This entry pairs a crystal structure of USeBr3 with its computed powder XRD pattern. Radiation: a wavelength of 1.5418 Å. Structure: DFT lattice parameters and positions (PBE).

Structural model:
abc: 7.5287 7.6002 14.2644
angles: 90.00 97.50 90.00
Positions (direct):
U (0.0812, 0.1173, 0.1380)
U (0.0812, 0.8827, 0.6380)
U (0.9188, 0.1173, 0.3620)
U (0.9188, 0.8827, 0.8620)
Se (0.1451, 0.3794, 0.2915)
Se (0.1451, 0.6206, 0.7915)
Se (0.8549, 0.3794, 0.2085)
Se (0.8549, 0.6206, 0.7085)
Br (0.1359, 0.2042, 0.5368)
Br (0.1359, 0.7958, 0.0368)
Br (0.2299, 0.0738, 0.8026)
Br (0.2299, 0.9262, 0.3026)
Br (0.3714, 0.2597, 0.0772)
Br (0.3714, 0.7403, 0.5772)
Br (0.6286, 0.2597, 0.4228)
Br (0.6286, 0.7403, 0.9228)
Br (0.7701, 0.0738, 0.6974)
Br (0.7701, 0.9262, 0.1974)
Br (0.8641, 0.2042, 0.9632)
Br (0.8641, 0.7958, 0.4632)

Principal peaks in the range 10° ≤ 2θ ≤ 80°, in order of rising 2θ:
7.600 Å, 2θ 11.64, rel. 65, hkl 0 1 0
7.464 Å, 2θ 11.86, rel. 100, hkl 1 0 0
6.695 Å, 2θ 13.23, rel. 58, hkl 0 1 1
5.325 Å, 2θ 16.65, rel. 28, hkl 1 1 0
4.833 Å, 2θ 18.36, rel. 38, hkl 1 0 2
3.348 Å, 2θ 26.62, rel. 25, hkl 2 1 -1
3.045 Å, 2θ 29.33, rel. 18, hkl 1 0 4
2.897 Å, 2θ 30.87, rel. 19, hkl 2 1 -3
2.830 Å, 2θ 31.61, rel. 47, hkl 1 2 -3
2.573 Å, 2θ 34.86, rel. 22, hkl 2 2 1
2.416 Å, 2θ 37.21, rel. 19, hkl 2 2 -3
2.229 Å, 2θ 40.46, rel. 20, hkl 2 2 3